Structure and theoretical powder X-ray diffraction pattern of SrZn2Ag9 (a cell relaxed with PBE; copper Kα).
Kinematic intensities with the Lorentz-polarization factor, no thermal factor.

Crystal structure
abc: 8.8208 8.8208 8.8208
angles: 99.88 99.88 131.06
Atoms (fractional coordinates):
Sr (0.3750, 0.6250, 0.7500)
Sr (0.6250, 0.3750, 0.2500)
Zn (0.0000, 0.0000, 0.0000)
Zn (0.0000, 0.0000, 0.5000)
Zn (0.0000, 0.5000, 0.0000)
Zn (0.5000, 0.0000, 0.5000)
Ag (0.1250, 0.8750, 0.2500)
Ag (0.1376, 0.5623, 0.3311)
Ag (0.1376, 0.8065, 0.5752)
Ag (0.1935, 0.2687, 0.3311)
Ag (0.1935, 0.8624, 0.9248)
Ag (0.2687, 0.1935, 0.8311)
Ag (0.2687, 0.4377, 0.0752)
Ag (0.4377, 0.2687, 0.5752)
Ag (0.4377, 0.8624, 0.1689)
Ag (0.5623, 0.1376, 0.8311)
Ag (0.5623, 0.7313, 0.4248)
Ag (0.7313, 0.5623, 0.9248)
Ag (0.7313, 0.8065, 0.1689)
Ag (0.8065, 0.1376, 0.0752)
Ag (0.8065, 0.7313, 0.6689)
Ag (0.8624, 0.1935, 0.4248)
Ag (0.8624, 0.4377, 0.6689)
Ag (0.8750, 0.1250, 0.7500)

Most intense lines, 5 to 70 degrees two-theta, low angle first:
2theta  d [Å]  I_rel
15.61  5.677  18
30.92  2.892  16
35.04  2.561  81
35.35  2.539  66
37.77  2.382  27
40.23  2.242  24
41.10  2.196  30
41.65  2.169  100
43.40  2.085  33
63.26  1.470  25